[1]
Starting from a DFT-relaxed cell (GGA-PBE, Alexandria), the X-ray powder pattern of Zr5Tl was computed for Cu Kα (λ = 1.5418 Å).
Intensities are scaled so that the largest is 100.

Principal peaks in the range 2θ from 10° to 90°, most intense first:
d_spacing	I_rel
2.620	100
2.251	32
1.360	25
1.611	22
2.306	17
1.384	13
1.310	11
1.591	11
6.918	6
2.891	4

Cell and atoms:
```
Zr5Tl
1.0
3.183 0.000 0.000
0.000 3.183 0.000
0.000 0.000 13.836
Zr Tl
5 1
Cartesian
0.000 0.000 0.000 Zr
0.000 0.000 4.536 Zr
0.000 0.000 9.300 Zr
1.591 1.591 2.260 Zr
1.591 1.591 11.576 Zr
1.591 1.591 6.918 Tl
```

=====

[2]
Starting from a DFT-relaxed cell (GGA-PBE, Alexandria), the X-ray powder pattern of ZrTl4 was computed for Cu Kα (λ = 1.5418 Å).
Intensities are scaled so that the largest is 100.

Principal peaks in the range 2θ from 10° to 90°, most intense first:
d_spacing	I_rel
2.774	100
2.903	90
2.680	89
2.230	44
2.942	42
3.068	37
1.538	36
1.581	31
1.743	30
3.246	29

Cell and atoms:
```
ZrTl4
1.0
6.492 0.000 0.000
0.000 6.492 0.000
0.000 0.000 6.964
Zr Tl
2 8
Cartesian
0.000 0.000 0.000 Zr
3.246 3.246 3.482 Zr
0.849 1.744 2.320 Tl
1.502 2.397 5.802 Tl
1.744 5.643 4.644 Tl
2.397 4.990 1.162 Tl
4.094 1.502 1.162 Tl
4.747 0.849 4.644 Tl
4.990 4.094 5.802 Tl
5.643 4.747 2.320 Tl
```

=====

[3]
Starting from a DFT-relaxed cell (GGA-PBE, Alexandria), the X-ray powder pattern of Zr5Tl3 was computed for Cu Kα (λ = 1.5418 Å).
Intensities are scaled so that the largest is 100.

Principal peaks in the range 2θ from 10° to 90°, most intense first:
d_spacing	I_rel
2.599	100
2.380	19
2.245	17
2.145	15
1.412	14
1.355	13
1.633	12
1.310	12
1.299	11
1.593	11

Cell and atoms:
```
Zr5Tl3
1.0
4.290 -4.759 0.000
4.290 4.759 0.000
0.000 0.000 4.490
Zr Tl
5 3
Cartesian
0.000 0.000 0.000 Zr
2.145 2.380 0.000 Zr
2.166 0.000 2.245 Zr
2.145 -2.380 0.000 Zr
6.414 0.000 2.245 Zr
4.290 2.501 2.245 Tl
4.290 0.000 0.000 Tl
4.290 -2.501 2.245 Tl
```

=====

[4]
Starting from a DFT-relaxed cell (GGA-PBE, Alexandria), the X-ray powder pattern of Zr3Tl2 was computed for Cu Kα (λ = 1.5418 Å).
Intensities are scaled so that the largest is 100.

Principal peaks in the range 2θ from 10° to 90°, most intense first:
d_spacing	I_rel
2.566	100
2.633	79
2.578	37
2.110	31
2.469	29
1.649	21
2.478	21
4.268	19
2.969	17
2.813	17

Cell and atoms:
```
Zr3Tl2
1.0
0.000 7.346 3.045
5.243 0.000 3.045
5.243 7.346 0.000
Zr Tl
6 4
Cartesian
0.000 0.000 0.000 Zr
2.622 3.673 1.522 Zr
5.853 5.873 3.241 Zr
4.633 8.818 3.241 Zr
7.255 9.546 4.763 Zr
8.475 12.491 4.763 Zr
7.479 8.093 1.964 Tl
4.858 2.926 3.486 Tl
3.007 6.599 1.964 Tl
5.629 11.765 3.486 Tl
```

=====

[5]
Starting from a DFT-relaxed cell (GGA-PBE, Alexandria), the X-ray powder pattern of Zr5Tl3 was computed for Cu Kα (λ = 1.5418 Å).
Intensities are scaled so that the largest is 100.

Principal peaks in the range 2θ from 10° to 90°, most intense first:
d_spacing	I_rel
2.492	100
2.537	62
2.559	59
3.797	32
1.990	28
3.619	27
1.953	25
2.320	24
1.561	24
1.384	22

Cell and atoms:
```
Zr5Tl3
1.0
-5.723 5.723 2.831
5.723 -5.723 2.831
5.723 5.723 -2.831
Zr Tl
10 6
Cartesian
8.860 0.885 0.000 Zr
0.885 2.586 0.000 Zr
5.723 0.000 1.415 Zr
6.607 3.137 0.000 Zr
3.137 4.838 0.000 Zr
2.586 0.885 2.831 Zr
-0.885 2.586 2.831 Zr
0.000 5.723 1.415 Zr
4.838 3.137 2.831 Zr
-3.137 4.838 2.831 Zr
3.820 1.903 0.000 Tl
0.000 0.000 1.415 Tl
3.820 -1.903 2.831 Tl
1.903 7.625 0.000 Tl
0.000 0.000 4.246 Tl
1.903 3.820 2.831 Tl
```

=====

[6]
Starting from a DFT-relaxed cell (GGA-PBE, Alexandria), the X-ray powder pattern of Zr3Tl2 was computed for Cu Kα (λ = 1.5418 Å).
Intensities are scaled so that the largest is 100.

Principal peaks in the range 2θ from 10° to 90°, most intense first:
d_spacing	I_rel
2.630	100
2.833	77
2.255	59
2.498	58
3.525	50
1.927	27
2.105	22
1.593	22
1.763	21
1.247	19

Cell and atoms:
```
Zr3Tl2
1.0
-2.833 2.833 7.422
2.833 -2.833 7.422
2.833 2.833 -7.422
Zr Tl
6 4
Cartesian
0.000 0.000 0.000 Zr
1.416 1.416 -3.711 Zr
1.416 -1.416 3.711 Zr
2.833 1.416 1.855 Zr
0.000 2.833 0.000 Zr
0.000 1.416 5.566 Zr
2.833 1.416 -1.041 Tl
0.000 1.416 2.670 Tl
2.833 1.416 4.752 Tl
0.000 1.416 8.463 Tl
```